# 1
This entry pairs a crystal structure of ReSe3Br with its simulated powder diffraction line list. Radiation: Cu Kα X-rays. Structure: a cell relaxed with PBE.

Structural model:
```
data_ReSe3Br
_symmetry_space_group_name_H-M 'P 1'
_symmetry_Int_Tables_number 1
_symmetry_space_group_name_Hall 'P 1'
_cell_length_a 4.908
_cell_length_b 7.611
_cell_length_c 8.735
_cell_angle_alpha 73.28
_cell_angle_beta 74.62
_cell_angle_gamma 88.98
loop_
_atom_site_label
_atom_site_type_symbol
_atom_site_fract_x
_atom_site_fract_y
_atom_site_fract_z
Re1 Re 0.194 0.308 0.131
Re2 Re 0.806 0.692 0.869
Se1 Se 0.044 0.256 0.413
Se2 Se 0.227 0.033 0.068
Se3 Se 0.288 0.614 0.913
Se4 Se 0.712 0.386 0.087
Se5 Se 0.773 0.967 0.932
Se6 Se 0.956 0.744 0.587
Br1 Br 0.429 0.236 0.558
Br2 Br 0.571 0.764 0.442
```

Most intense lines, 10 to 90 degrees two-theta, by angle:
2theta, I/Imax
10.99, 58
13.81, 100
21.83, 56
23.71, 59
24.47, 30
36.63, 56


# 2
This entry pairs a crystal structure of Li3B4C4 with its simulated powder diffraction line list. Radiation: Cu Kα X-rays. Structure: a cell relaxed with PBE.

Structural model:
```
data_Li3B4C4
_symmetry_space_group_name_H-M 'P 1'
_symmetry_Int_Tables_number 1
_symmetry_space_group_name_Hall 'P 1'
_cell_length_a 7.269
_cell_length_b 9.406
_cell_length_c 2.729
_cell_angle_alpha 90.00
_cell_angle_beta 90.00
_cell_angle_gamma 90.00
loop_
_atom_site_label
_atom_site_type_symbol
_atom_site_fract_x
_atom_site_fract_y
_atom_site_fract_z
Li1 Li 0.000 0.000 0.000
Li2 Li 0.008 0.273 0.500
Li3 Li 0.492 0.773 0.500
Li4 Li 0.500 0.500 0.000
Li5 Li 0.508 0.227 0.500
Li6 Li 0.992 0.727 0.500
B1 B 0.234 0.829 0.000
B2 B 0.246 0.078 0.500
B3 B 0.254 0.578 0.500
B4 B 0.266 0.329 0.000
B5 B 0.734 0.671 0.000
B6 B 0.746 0.422 0.500
B7 B 0.754 0.922 0.500
B8 B 0.766 0.171 0.000
C1 C 0.228 0.911 0.500
C2 C 0.248 0.662 0.000
C3 C 0.252 0.162 0.000
C4 C 0.272 0.411 0.500
C5 C 0.728 0.589 0.500
C6 C 0.748 0.838 0.000
C7 C 0.752 0.338 0.000
C8 C 0.772 0.089 0.500
```

Most intense lines, 10 to 90 degrees two-theta, by angle:
2theta, I/Imax
15.41, 9
24.49, 100
45.84, 34
45.97, 17
50.20, 16
69.10, 10


# 3
This entry pairs a crystal structure of NaH4ClO2 with its simulated powder diffraction line list. Radiation: Cu Kα X-rays. Structure: a cell relaxed with PBE.

Structural model:
```
data_NaH4ClO2
_symmetry_space_group_name_H-M 'P 1'
_symmetry_Int_Tables_number 1
_symmetry_space_group_name_Hall 'P 1'
_cell_length_a 6.440
_cell_length_b 10.212
_cell_length_c 6.644
_cell_angle_alpha 90.00
_cell_angle_beta 116.46
_cell_angle_gamma 90.00
loop_
_atom_site_label
_atom_site_type_symbol
_atom_site_fract_x
_atom_site_fract_y
_atom_site_fract_z
Na1 Na 0.015 0.169 0.446
Na2 Na 0.015 0.331 0.946
Na3 Na 0.985 0.669 0.054
Na4 Na 0.985 0.831 0.554
H1 H 0.227 0.588 0.786
H2 H 0.227 0.912 0.286
H3 H 0.256 0.043 0.883
H4 H 0.256 0.457 0.383
H5 H 0.378 0.691 0.960
H6 H 0.378 0.809 0.460
H7 H 0.391 0.517 0.257
H8 H 0.391 0.983 0.757
H9 H 0.609 0.017 0.243
H10 H 0.609 0.483 0.743
H11 H 0.622 0.191 0.540
H12 H 0.622 0.309 0.040
H13 H 0.744 0.543 0.617
H14 H 0.744 0.957 0.117
H15 H 0.773 0.088 0.714
H16 H 0.773 0.412 0.214
Cl1 Cl 0.285 0.115 0.206
Cl2 Cl 0.285 0.385 0.706
Cl3 Cl 0.715 0.615 0.294
Cl4 Cl 0.715 0.885 0.794
O1 O 0.220 0.677 0.841
O2 O 0.220 0.823 0.341
O3 O 0.237 0.013 0.734
O4 O 0.237 0.487 0.234
O5 O 0.763 0.513 0.766
O6 O 0.763 0.987 0.266
O7 O 0.780 0.177 0.659
O8 O 0.780 0.323 0.159
```

Most intense lines, 10 to 90 degrees two-theta, by angle:
2theta, I/Imax
22.96, 42
30.50, 42
32.21, 45
33.41, 66
37.14, 100
44.85, 44


# 4
This entry pairs a crystal structure of Zr3UP4 with its simulated powder diffraction line list. Radiation: Cu Kα X-rays. Structure: a cell relaxed with PBE.

Structural model:
```
data_Zr3UP4
_symmetry_space_group_name_H-M 'P 1'
_symmetry_Int_Tables_number 1
_symmetry_space_group_name_Hall 'P 1'
_cell_length_a 6.553
_cell_length_b 7.584
_cell_length_c 6.560
_cell_angle_alpha 90.00
_cell_angle_beta 109.62
_cell_angle_gamma 90.00
loop_
_atom_site_label
_atom_site_type_symbol
_atom_site_fract_x
_atom_site_fract_y
_atom_site_fract_z
Zr1 Zr 0.000 0.121 0.250
Zr2 Zr 0.000 0.370 0.750
Zr3 Zr 0.000 0.630 0.250
Zr4 Zr 0.000 0.879 0.750
Zr5 Zr 0.500 0.123 0.750
Zr6 Zr 0.500 0.877 0.250
U1 U 0.500 0.375 0.250
U2 U 0.500 0.625 0.750
P1 P 0.245 0.373 0.498
P2 P 0.245 0.627 0.998
P3 P 0.249 0.123 0.000
P4 P 0.249 0.877 0.500
P5 P 0.751 0.123 0.500
P6 P 0.751 0.877 0.000
P7 P 0.755 0.373 0.002
P8 P 0.755 0.627 0.502
```

Most intense lines, 10 to 90 degrees two-theta, by angle:
2theta, I/Imax
28.88, 72
33.47, 100
48.04, 59
57.01, 22
80.11, 21
89.61, 15


# 5
This entry pairs a crystal structure of LaNd4 with its simulated powder diffraction line list. Radiation: Cu Kα X-rays. Structure: a cell relaxed with PBE.

Structural model:
```
data_LaNd4
_symmetry_space_group_name_H-M 'P 1'
_symmetry_Int_Tables_number 1
_symmetry_space_group_name_Hall 'P 1'
_cell_length_a 3.698
_cell_length_b 5.232
_cell_length_c 18.464
_cell_angle_alpha 90.00
_cell_angle_beta 90.00
_cell_angle_gamma 90.00
loop_
_atom_site_label
_atom_site_type_symbol
_atom_site_fract_x
_atom_site_fract_y
_atom_site_fract_z
La1 La 0.000 0.000 0.000
La2 La 0.500 0.500 0.500
Nd1 Nd 0.000 0.000 0.200
Nd2 Nd 0.000 0.000 0.399
Nd3 Nd 0.000 0.000 0.601
Nd4 Nd 0.000 0.000 0.800
Nd5 Nd 0.500 0.500 0.101
Nd6 Nd 0.500 0.500 0.300
Nd7 Nd 0.500 0.500 0.700
Nd8 Nd 0.500 0.500 0.899
```

Most intense lines, 10 to 90 degrees two-theta, by angle:
2theta, I/Imax
29.60, 100
34.31, 51
49.30, 36
58.56, 43
79.98, 15
82.50, 14


# 6
This entry pairs a crystal structure of Ac5Tc2Ge5 with its simulated powder diffraction line list. Radiation: Cu Kα X-rays. Structure: a cell relaxed with PBE.

Structural model:
```
data_Ac5Tc2Ge5
_symmetry_space_group_name_H-M 'P 1'
_symmetry_Int_Tables_number 1
_symmetry_space_group_name_Hall 'P 1'
_cell_length_a 6.991
_cell_length_b 6.991
_cell_length_c 10.871
_cell_angle_alpha 95.53
_cell_angle_beta 95.53
_cell_angle_gamma 38.43
loop_
_atom_site_label
_atom_site_type_symbol
_atom_site_fract_x
_atom_site_fract_y
_atom_site_fract_z
Ac1 Ac 0.000 0.000 0.000
Ac2 Ac 0.149 0.149 0.597
Ac3 Ac 0.284 0.284 0.891
Ac4 Ac 0.716 0.716 0.109
Ac5 Ac 0.851 0.851 0.403
Tc1 Tc 0.430 0.430 0.692
Tc2 Tc 0.570 0.570 0.308
Ge1 Ge 0.140 0.140 0.290
Ge2 Ge 0.402 0.402 0.176
Ge3 Ge 0.500 0.500 0.500
Ge4 Ge 0.598 0.598 0.824
Ge5 Ge 0.860 0.860 0.710
```

Most intense lines, 10 to 90 degrees two-theta, by angle:
2theta, I/Imax
28.74, 100
29.94, 44
31.64, 61
32.82, 92
34.57, 62
39.15, 58


# 7
This entry pairs a crystal structure of Pu6AgPt5 with its simulated powder diffraction line list. Radiation: Cu Kα X-rays. Structure: a cell relaxed with PBE.

Structural model:
```
data_Pu6AgPt5
_symmetry_space_group_name_H-M 'P 1'
_symmetry_Int_Tables_number 1
_symmetry_space_group_name_Hall 'P 1'
_cell_length_a 5.114
_cell_length_b 7.073
_cell_length_c 8.393
_cell_angle_alpha 114.91
_cell_angle_beta 106.17
_cell_angle_gamma 90.49
loop_
_atom_site_label
_atom_site_type_symbol
_atom_site_fract_x
_atom_site_fract_y
_atom_site_fract_z
Pu1 Pu 0.007 0.281 0.030
Pu2 Pu 0.263 0.094 0.663
Pu3 Pu 0.288 0.563 0.637
Pu4 Pu 0.712 0.437 0.363
Pu5 Pu 0.737 0.906 0.337
Pu6 Pu 0.993 0.719 0.970
Ag1 Ag 0.500 0.000 0.000
Pt1 Pt 0.237 0.130 0.309
Pt2 Pt 0.241 0.694 0.337
Pt3 Pt 0.500 0.500 0.000
Pt4 Pt 0.759 0.306 0.663
Pt5 Pt 0.763 0.870 0.691
```

Most intense lines, 10 to 90 degrees two-theta, by angle:
2theta, I/Imax
35.11, 76
35.67, 100
35.96, 96
36.24, 84
36.38, 99
37.28, 90


# 8
This entry pairs a crystal structure of Sc3NiC4 with its simulated powder diffraction line list. Radiation: Cu Kα X-rays. Structure: a cell relaxed with PBE.

Structural model:
```
data_Sc3NiC4
_symmetry_space_group_name_H-M 'P 1'
_symmetry_Int_Tables_number 1
_symmetry_space_group_name_Hall 'P 1'
_cell_length_a 3.446
_cell_length_b 4.378
_cell_length_c 11.910
_cell_angle_alpha 90.00
_cell_angle_beta 90.00
_cell_angle_gamma 90.00
loop_
_atom_site_label
_atom_site_type_symbol
_atom_site_fract_x
_atom_site_fract_y
_atom_site_fract_z
Sc1 Sc 0.000 0.000 0.000
Sc2 Sc 0.000 0.500 0.187
Sc3 Sc 0.000 0.500 0.813
Sc4 Sc 0.500 0.000 0.313
Sc5 Sc 0.500 0.000 0.687
Sc6 Sc 0.500 0.500 0.500
Ni1 Ni 0.000 0.000 0.500
Ni2 Ni 0.500 0.500 0.000
C1 C 0.000 0.334 0.376
C2 C 0.000 0.334 0.624
C3 C 0.000 0.666 0.376
C4 C 0.000 0.666 0.624
C5 C 0.500 0.166 0.124
C6 C 0.500 0.166 0.876
C7 C 0.500 0.834 0.124
C8 C 0.500 0.834 0.876
```

Most intense lines, 10 to 90 degrees two-theta, by angle:
2theta, I/Imax
14.88, 17
36.45, 100
41.24, 19
43.24, 14
45.26, 29
53.16, 14


# 9
This entry pairs a crystal structure of Na5B7C3 with its simulated powder diffraction line list. Radiation: Cu Kα X-rays. Structure: a cell relaxed with PBE.

Structural model:
```
data_Na5B7C3
_symmetry_space_group_name_H-M 'P 1'
_symmetry_Int_Tables_number 1
_symmetry_space_group_name_Hall 'P 1'
_cell_length_a 5.018
_cell_length_b 7.689
_cell_length_c 9.054
_cell_angle_alpha 72.31
_cell_angle_beta 89.99
_cell_angle_gamma 70.96
loop_
_atom_site_label
_atom_site_type_symbol
_atom_site_fract_x
_atom_site_fract_y
_atom_site_fract_z
Na1 Na 0.000 0.000 0.000
Na2 Na 0.099 0.800 0.503
Na3 Na 0.199 0.600 0.000
Na4 Na 0.300 0.398 0.504
Na5 Na 0.399 0.201 0.998
Na6 Na 0.500 0.998 0.502
Na7 Na 0.600 0.799 0.002
Na8 Na 0.701 0.600 0.501
Na9 Na 0.801 0.399 0.001
Na10 Na 0.901 0.199 0.501
B1 B 0.071 0.501 0.751
B2 B 0.138 0.114 0.251
B3 B 0.273 0.098 0.750
B4 B 0.320 0.688 0.251
B5 B 0.368 0.901 0.251
B6 B 0.413 0.501 0.751
B7 B 0.489 0.708 0.753
B8 B 0.509 0.311 0.251
B9 B 0.615 0.097 0.750
B10 B 0.703 0.300 0.749
B11 B 0.753 0.884 0.252
B12 B 0.770 0.097 0.251
B13 B 0.899 0.889 0.752
B14 B 0.913 0.499 0.251
C1 C 0.013 0.300 0.749
C2 C 0.173 0.309 0.251
C3 C 0.216 0.899 0.752
C4 C 0.578 0.499 0.251
C5 C 0.816 0.698 0.753
C6 C 0.983 0.689 0.252
```

Most intense lines, 10 to 90 degrees two-theta, by angle:
2theta, I/Imax
35.72, 19
41.66, 100
42.16, 25
56.42, 10
64.24, 11
76.72, 12


# 10
This entry pairs a crystal structure of Tb2Sm3Y3 with its simulated powder diffraction line list. Radiation: Cu Kα X-rays. Structure: a cell relaxed with PBE.

Structural model:
```
data_Tb2Sm3Y3
_symmetry_space_group_name_H-M 'P 1'
_symmetry_Int_Tables_number 1
_symmetry_space_group_name_Hall 'P 1'
_cell_length_a 5.730
_cell_length_b 14.647
_cell_length_c 6.327
_cell_angle_alpha 90.00
_cell_angle_beta 90.04
_cell_angle_gamma 90.00
loop_
_atom_site_label
_atom_site_type_symbol
_atom_site_fract_x
_atom_site_fract_y
_atom_site_fract_z
Tb1 Tb 0.250 0.125 0.167
Tb2 Tb 0.250 0.375 0.167
Tb3 Tb 0.750 0.625 0.833
Tb4 Tb 0.750 0.875 0.833
Sm1 Sm 0.250 0.250 0.668
Sm2 Sm 0.250 0.625 0.165
Sm3 Sm 0.250 0.875 0.165
Sm4 Sm 0.750 0.125 0.835
Sm5 Sm 0.750 0.375 0.835
Sm6 Sm 0.750 0.750 0.332
Y1 Y 0.250 0.000 0.668
Y2 Y 0.250 0.500 0.668
Y3 Y 0.250 0.750 0.665
Y4 Y 0.750 0.000 0.332
Y5 Y 0.750 0.250 0.335
Y6 Y 0.750 0.500 0.332
```

Most intense lines, 10 to 90 degrees two-theta, by angle:
2theta, I/Imax
28.18, 24
31.22, 24
32.29, 100
42.55, 16
56.24, 20
59.99, 15


# 11
This entry pairs a crystal structure of LaMg with its simulated powder diffraction line list. Radiation: Cu Kα X-rays. Structure: a cell relaxed with PBE.

Structural model:
```
data_LaMg
_symmetry_space_group_name_H-M 'P 1'
_symmetry_Int_Tables_number 1
_symmetry_space_group_name_Hall 'P 1'
_cell_length_a 3.535
_cell_length_b 3.535
_cell_length_c 9.749
_cell_angle_alpha 90.00
_cell_angle_beta 90.00
_cell_angle_gamma 90.00
loop_
_atom_site_label
_atom_site_type_symbol
_atom_site_fract_x
_atom_site_fract_y
_atom_site_fract_z
La1 La 0.250 0.250 0.149
La2 La 0.750 0.750 0.851
Mg1 Mg 0.250 0.250 0.598
Mg2 Mg 0.750 0.750 0.402
```

Most intense lines, 10 to 90 degrees two-theta, by angle:
2theta, I/Imax
26.82, 56
27.45, 22
31.25, 100
35.92, 38
45.79, 22
61.68, 28


# 12
This entry pairs a crystal structure of Sm3YB2N6 with its simulated powder diffraction line list. Radiation: Cu Kα X-rays. Structure: a cell relaxed with PBE.

Structural model:
```
data_Sm3YB2N6
_symmetry_space_group_name_H-M 'P 1'
_symmetry_Int_Tables_number 1
_symmetry_space_group_name_Hall 'P 1'
_cell_length_a 5.598
_cell_length_b 5.598
_cell_length_c 6.264
_cell_angle_alpha 90.00
_cell_angle_beta 90.00
_cell_angle_gamma 120.00
loop_
_atom_site_label
_atom_site_type_symbol
_atom_site_fract_x
_atom_site_fract_y
_atom_site_fract_z
Sm1 Sm 0.000 0.000 0.000
Sm2 Sm 0.333 0.667 0.661
Sm3 Sm 0.667 0.333 0.339
Y1 Y 0.000 0.000 0.500
B1 B 0.333 0.667 0.245
B2 B 0.667 0.333 0.755
N1 N 0.184 0.369 0.271
N2 N 0.184 0.816 0.271
N3 N 0.369 0.184 0.729
N4 N 0.631 0.816 0.271
N5 N 0.816 0.184 0.729
N6 N 0.816 0.631 0.729
```

Most intense lines, 10 to 90 degrees two-theta, by angle:
2theta, I/Imax
23.20, 75
31.97, 100
34.08, 88
39.88, 36
47.42, 45
58.34, 36